Starting from a DFT-relaxed cell (PBE, OQMD), the X-ray diffraction stick pattern of Sr2NiHg was simulated for Cu Kα.

Structure:
```
data_Sr2NiHg
_chemical_formula_sum 'Sr8 Ni4 Hg4'
_space_group_name_H-M_alt 'F -4 3 m'
_space_group_IT_number 216
_space_group_name_Hall 'F -4 2 3'
_cell_length_a 7.4206
_cell_length_b 7.4206
_cell_length_c 7.4206
_cell_angle_alpha 90.00
_cell_angle_beta 90.00
_cell_angle_gamma 90.00
loop_
_atom_site_label
_atom_site_type_symbol
_atom_site_fract_x
_atom_site_fract_y
_atom_site_fract_z
_atom_site_occupancy
Sr1 Sr 0.0000 0.0000 0.0000 1
Sr2 Sr 0.2500 0.2500 0.2500 1
Ni1 Ni 0.0000 0.0000 0.5000 1
Hg1 Hg 0.2500 0.2500 0.7500 1
```

Main lines, by angle (10° ≤ 2θ ≤ 90°):
d = 4.284 Å, 20.7°, I = 14.6; d = 3.710 Å, 24.0°, I = 11.0; d = 2.624 Å, 34.2°, I = 100.0; d = 2.237 Å, 40.3°, I = 8.7; d = 2.142 Å, 42.2°, I = 3.6; d = 1.855 Å, 49.1°, I = 17.9; d = 1.702 Å, 53.9°, I = 3.9; d = 1.659 Å, 55.4°, I = 5.0; d = 1.515 Å, 61.2°, I = 36.7; d = 1.312 Å, 72.0°, I = 11.4; d = 1.254 Å, 75.8°, I = 3.0; d = 1.173 Å, 82.2°, I = 16.1

***

Starting from a DFT-relaxed cell (PBE, OQMD), the X-ray diffraction stick pattern of H4PdBr2O2 was simulated for Cu Kα.

Structure:
```
data_H4PdBr2O2
_chemical_formula_sum 'H8 Pd2 Br4 O4'
_space_group_name_H-M_alt 'C 1 2/m 1'
_space_group_IT_number 12
_space_group_name_Hall '-C 2y'
_cell_length_a 7.5895
_cell_length_b 8.5182
_cell_length_c 3.8351
_cell_angle_alpha 90.00
_cell_angle_beta 91.29
_cell_angle_gamma 90.00
loop_
_atom_site_label
_atom_site_type_symbol
_atom_site_fract_x
_atom_site_fract_y
_atom_site_fract_z
_atom_site_occupancy
H1 H 0.0835 0.1942 0.1374 1
Pd1 Pd 0.0000 0.5000 0.0000 1
Br1 Br 0.2341 0.0000 0.3674 1
O1 O 0.0000 0.2610 0.0000 1
```

Main lines, by angle (10° ≤ 2θ ≤ 90°):
d = 5.666 Å, 15.6°, I = 60.7; d = 4.259 Å, 20.9°, I = 97.9; d = 3.151 Å, 28.3°, I = 100.0; d = 2.728 Å, 32.8°, I = 45.2; d = 2.665 Å, 33.6°, I = 35.7; d = 2.425 Å, 37.1°, I = 20.7; d = 2.297 Å, 39.2°, I = 29.3; d = 2.177 Å, 41.5°, I = 32.7; d = 2.130 Å, 42.4°, I = 25.6; d = 2.069 Å, 43.7°, I = 18.9; d = 1.825 Å, 50.0°, I = 25.7; d = 1.679 Å, 54.7°, I = 18.7

***

Starting from a DFT-relaxed cell (PBE, OQMD), the X-ray diffraction stick pattern of AuI was simulated for Cu Kα.

Structure:
```
data_AuI
_chemical_formula_sum 'Au4 I4'
_space_group_name_H-M_alt 'P 42/n c m'
_space_group_IT_number 138
_cell_length_a 4.4180
_cell_length_b 4.4180
_cell_length_c 13.2678
_cell_angle_alpha 90.00
_cell_angle_beta 90.00
_cell_angle_gamma 90.00
loop_
_space_group_symop_operation_xyz
'x,y,z'
'-x,-y,-z'
'-y+1/2,x,z+1/2'
'y+1/2,-x,-z+1/2'
'-x+1/2,-y+1/2,z'
'x+1/2,y+1/2,-z'
'y,-x+1/2,z+1/2'
'-y,x+1/2,-z+1/2'
'x+1/2,-y,-z+1/2'
'-x+1/2,y,z+1/2'
'-y,-x,-z'
'y,x,z'
'-x,y+1/2,-z+1/2'
'x,-y+1/2,z+1/2'
'y+1/2,x+1/2,-z'
'-y+1/2,-x+1/2,z'
loop_
_atom_site_label
_atom_site_type_symbol
_atom_site_fract_x
_atom_site_fract_y
_atom_site_fract_z
_atom_site_occupancy
Au1 Au 0.0000 0.0000 0.0000 1
I1 I 0.2500 0.2500 0.1593 1
```

Main lines, by angle (10° ≤ 2θ ≤ 90°):
d = 6.634 Å, 13.3°, I = 80.2; d = 3.677 Å, 24.2°, I = 55.0; d = 3.124 Å, 28.6°, I = 21.8; d = 3.041 Å, 29.4°, I = 100.0; d = 2.552 Å, 35.2°, I = 62.9; d = 2.211 Å, 40.8°, I = 29.9; d = 2.096 Å, 43.2°, I = 57.1; d = 2.022 Å, 44.8°, I = 32.3; d = 1.839 Å, 49.6°, I = 47.6; d = 1.562 Å, 59.1°, I = 21.1; d = 1.389 Å, 67.4°, I = 19.5; d = 1.333 Å, 70.7°, I = 25.6

***

Starting from a DFT-relaxed cell (PBE, OQMD), the X-ray diffraction stick pattern of Cu3Ag17 was simulated for Cu Kα.

Structure:
```
data_Cu3Ag17
_chemical_formula_sum 'Cu6 Ag34'
_space_group_name_H-M_alt 'P 1'
_space_group_IT_number 1
_space_group_name_Hall 'P 1'
_cell_length_a 6.4659
_cell_length_b 7.6529
_cell_length_c 13.8556
_cell_angle_alpha 94.70
_cell_angle_beta 90.11
_cell_angle_gamma 90.06
loop_
_atom_site_label
_atom_site_type_symbol
_atom_site_fract_x
_atom_site_fract_y
_atom_site_fract_z
_atom_site_occupancy
Cu1 Cu 0.0000 0.0000 0.0000 1
Cu2 Cu 0.0057 0.7522 0.2555 1
Cu3 Cu 0.3058 0.0486 0.8553 1
Cu4 Cu 0.6039 0.0963 0.7071 1
Cu5 Cu 0.6098 0.8540 0.9550 1
Cu6 Cu 0.8046 0.8059 0.6112 1
Ag1 Ag 0.0026 0.5038 0.5099 1
Ag2 Ag 0.0996 0.0959 0.2008 1
Ag3 Ag 0.1014 0.8504 0.4592 1
Ag4 Ag 0.1031 0.3433 0.9533 1
Ag5 Ag 0.1052 0.6040 0.7073 1
Ag6 Ag 0.2019 0.2012 0.4065 1
Ag7 Ag 0.2025 0.4560 0.1551 1
Ag8 Ag 0.2086 0.9526 0.6611 1
Ag9 Ag 0.2159 0.7147 0.9065 1
Ag10 Ag 0.3021 0.5549 0.3554 1
Ag11 Ag 0.3029 0.8031 0.1052 1
Ag12 Ag 0.3080 0.2971 0.6074 1
Ag13 Ag 0.3942 0.1410 0.0477 1
Ag14 Ag 0.3973 0.9006 0.3056 1
Ag15 Ag 0.4049 0.3913 0.8054 1
Ag16 Ag 0.4137 0.6516 0.5583 1
Ag17 Ag 0.5025 0.2498 0.2517 1
Ag18 Ag 0.5054 0.5053 0.0051 1
Ag19 Ag 0.5100 0.9972 0.5108 1
Ag20 Ag 0.5134 0.7645 0.7591 1
Ag21 Ag 0.6060 0.3476 0.4541 1
Ag22 Ag 0.6143 0.6052 0.2061 1
Ag23 Ag 0.6941 0.1871 0.9030 1
Ag24 Ag 0.7043 0.4522 0.6582 1
Ag25 Ag 0.7071 0.9495 0.1487 1
Ag26 Ag 0.7103 0.7027 0.4074 1
Ag27 Ag 0.8041 0.2975 0.1004 1
Ag28 Ag 0.8037 0.5552 0.8586 1
Ag29 Ag 0.8061 0.0450 0.3518 1
Ag30 Ag 0.8985 0.1441 0.5604 1
Ag31 Ag 0.9068 0.4042 0.3041 1
Ag32 Ag 0.9082 0.6606 0.0541 1
Ag33 Ag 0.9080 0.9042 0.8082 1
Ag34 Ag 0.9985 0.2484 0.7572 1
```

Main lines, by angle (10° ≤ 2θ ≤ 90°):
d = 2.363 Å, 38.1°, I = 100.0; d = 2.358 Å, 38.2°, I = 98.9; d = 2.046 Å, 44.3°, I = 64.2; d = 2.041 Å, 44.4°, I = 31.2; d = 1.447 Å, 64.4°, I = 29.2; d = 1.445 Å, 64.5°, I = 19.2; d = 1.443 Å, 64.6°, I = 9.4; d = 1.234 Å, 77.3°, I = 28.2; d = 1.232 Å, 77.4°, I = 27.4; d = 1.230 Å, 77.6°, I = 10.7; d = 1.181 Å, 81.5°, I = 9.7; d = 1.179 Å, 81.6°, I = 4.8

***

Starting from a DFT-relaxed cell (PBE, OQMD), the X-ray diffraction stick pattern of Li4Ga2FeIr was simulated for Cu Kα.

Structure:
```
data_Li4Ga2FeIr
_chemical_formula_sum 'Li4 Ga2 Fe1 Ir1'
_space_group_name_H-M_alt 'P -4 m 2'
_space_group_IT_number 115
_space_group_name_Hall 'P -4 -2'
_cell_length_a 4.1915
_cell_length_b 4.1915
_cell_length_c 6.0029
_cell_angle_alpha 90.00
_cell_angle_beta 90.00
_cell_angle_gamma 90.00
loop_
_atom_site_label
_atom_site_type_symbol
_atom_site_fract_x
_atom_site_fract_y
_atom_site_fract_z
_atom_site_occupancy
Li1 Li 0.0000 0.0000 0.0000 1
Li2 Li 0.0000 0.5000 0.7485 1
Li3 Li 0.5000 0.5000 0.5000 1
Ga1 Ga 0.0000 0.5000 0.2497 1
Fe1 Fe 0.0000 0.0000 0.5000 1
Ir1 Ir 0.5000 0.5000 0.0000 1
```

Main lines, by angle (10° ≤ 2θ ≤ 90°):
d = 6.003 Å, 14.8°, I = 19.6; d = 4.191 Å, 21.2°, I = 17.4; d = 3.437 Å, 25.9°, I = 100.0; d = 2.658 Å, 33.7°, I = 11.2; d = 2.109 Å, 42.9°, I = 59.7; d = 2.096 Å, 43.2°, I = 29.3; d = 1.806 Å, 50.5°, I = 16.0; d = 1.789 Å, 51.0°, I = 31.1; d = 1.482 Å, 62.7°, I = 9.5; d = 1.368 Å, 68.6°, I = 12.6; d = 1.220 Å, 78.4°, I = 9.8; d = 1.212 Å, 79.0°, I = 19.2

***

Starting from a DFT-relaxed cell (PBE, OQMD), the X-ray diffraction stick pattern of CoSiNi was simulated for Cu Kα.

Structure:
```
data_CoSiNi
_chemical_formula_sum 'Co4 Si4 Ni4'
_space_group_name_H-M_alt 'P n m a'
_space_group_IT_number 62
_space_group_name_Hall '-P 2ac 2n'
_cell_length_a 4.9724
_cell_length_b 3.6833
_cell_length_c 7.0360
_cell_angle_alpha 90.00
_cell_angle_beta 90.00
_cell_angle_gamma 90.00
loop_
_atom_site_label
_atom_site_type_symbol
_atom_site_fract_x
_atom_site_fract_y
_atom_site_fract_z
_atom_site_occupancy
Co1 Co 0.0377 0.2500 0.2092 1
Si1 Si 0.2061 0.2500 0.8897 1
Ni1 Ni 0.1685 0.2500 0.5634 1
```

Main lines, by angle (10° ≤ 2θ ≤ 90°):
d = 2.728 Å, 32.8°, I = 13.2; d = 2.265 Å, 39.8°, I = 20.4; d = 2.121 Å, 42.6°, I = 13.6; d = 2.061 Å, 43.9°, I = 36.8; d = 2.030 Å, 44.6°, I = 20.9; d = 1.978 Å, 45.9°, I = 100.0; d = 1.842 Å, 49.5°, I = 31.5; d = 1.838 Å, 49.6°, I = 10.1; d = 1.706 Å, 53.7°, I = 14.5; d = 1.364 Å, 68.8°, I = 10.3; d = 1.252 Å, 76.0°, I = 9.6; d = 1.146 Å, 84.5°, I = 9.2

***

Starting from a DFT-relaxed cell (PBE, OQMD), the X-ray diffraction stick pattern of TaMoIr2 was simulated for Cu Kα.

Structure:
```
data_TaMoIr2
_chemical_formula_sum 'Ta4 Mo4 Ir8'
_space_group_name_H-M_alt 'F -4 3 m'
_space_group_IT_number 216
_space_group_name_Hall 'F -4 2 3'
_cell_length_a 6.3204
_cell_length_b 6.3204
_cell_length_c 6.3204
_cell_angle_alpha 90.00
_cell_angle_beta 90.00
_cell_angle_gamma 90.00
loop_
_atom_site_label
_atom_site_type_symbol
_atom_site_fract_x
_atom_site_fract_y
_atom_site_fract_z
_atom_site_occupancy
Ta1 Ta 0.0000 0.0000 0.0000 1
Mo1 Mo 0.2500 0.2500 0.2500 1
Ir1 Ir 0.0000 0.0000 0.5000 1
Ir2 Ir 0.2500 0.2500 0.7500 1
```

Main lines, by angle (10° ≤ 2θ ≤ 90°):
d = 3.649 Å, 24.4°, I = 4.6; d = 3.160 Å, 28.2°, I = 1.9; d = 2.235 Å, 40.4°, I = 100.0; d = 1.906 Å, 47.7°, I = 2.6; d = 1.825 Å, 50.0°, I = 0.6; d = 1.580 Å, 58.4°, I = 17.0; d = 1.450 Å, 64.2°, I = 1.1; d = 1.413 Å, 66.1°, I = 0.8; d = 1.290 Å, 73.4°, I = 34.8; d = 1.216 Å, 78.7°, I = 0.8; d = 1.117 Å, 87.3°, I = 11.5